Structure and computed powder X-ray diffraction pattern of KMnH3C3O6 (the GGA+U geometry in the Materials Project; a wavelength of 1.5418 Å).
Intensities are scaled so that the largest is 100.

Largest 12 diffraction maxima, in order of falling intensity, 15 to 90 degrees two-theta:
(1 1 1), 2θ = 18.14°, rel. 100; (1 1 -1), 2θ = 16.88°, rel. 76; (1 3 -1), 2θ = 32.32°, rel. 67; (2 0 -2), 2θ = 27.92°, rel. 45; (3 1 0), 2θ = 25.75°, rel. 42; (4 0 0), 2θ = 31.98°, rel. 38; (3 1 -2), 2θ = 34.02°, rel. 37; (2 0 0), 2θ = 15.83°, rel. 36; (1 1 2), 2θ = 28.57°, rel. 31; (5 1 1), 2θ = 44.81°, rel. 29; (3 1 1), 2θ = 29.80°, rel. 28; (2 2 1), 2θ = 28.77°, rel. 27

Atomic structure:
a = 11.2668 Å, b = 9.2198 Å, c = 7.2465 Å
α = 90.00°, β = 96.46°, γ = 90.00°
Space group C2/c (No. 15)
Symmetry-distinct sites (fractional):
K  0.0000  0.1008  0.2500 x4
Mn  0.2500  0.2500  0.0000 x4
H  0.0000  0.3727  0.7500 x4
H  0.1372  0.4260  0.4845 x8
C  0.0000  0.2520  0.7500 x4
C  0.1887  0.4326  0.3630 x8
O  0.0657  0.1880  0.8788 x8
O  0.1751  0.3290  0.2484 x8
O  0.2449  0.0428  0.1475 x8

Structure and computed powder X-ray diffraction pattern of CaMnO2 (the GGA+U geometry in the Materials Project; a wavelength of 1.5418 Å).
Intensities are scaled so that the largest is 100.

Largest 12 diffraction maxima, in order of falling intensity, 15 to 90 degrees two-theta:
(1 1 1), 2θ = 33.19°, rel. 100; (0 2 2), 2θ = 30.05°, rel. 92; (0 2 0), 2θ = 20.73°, rel. 54; (1 2 -2), 2θ = 39.56°, rel. 53; (1 -2 1), 2θ = 36.14°, rel. 51; (1 -2 2), 2θ = 40.97°, rel. 50; (0 0 2), 2θ = 20.42°, rel. 49; (0 3 -1), 2θ = 32.46°, rel. 44; (1 0 -2), 2θ = 33.01°, rel. 38; (0 2 -2), 2θ = 28.45°, rel. 37; (0 1 -3), 2θ = 32.05°, rel. 30; (1 2 -3), 2θ = 45.22°, rel. 27

Atomic structure:
a = 3.2190 Å, b = 8.5928 Å, c = 8.7560 Å
α = 92.75°, β = 95.76°, γ = 92.89°
Space group P-1 (No. 2)
Symmetry-distinct sites (fractional):
Ca  0.1130  0.2477  0.0841 x2
Ca  0.1422  0.9216  0.2785 x2
Mn  0.2218  0.7282  0.5886 x2
Mn  0.4279  0.4035  0.7369 x2
O  0.0521  0.4428  0.2767 x2
O  0.3192  0.2158  0.5595 x2
O  0.3560  0.8907  0.7725 x2
O  0.4380  0.7562  0.1042 x2

Structure and computed powder X-ray diffraction pattern of Mg2TaMnO6 (the GGA+U geometry in the Materials Project; a wavelength of 1.5418 Å).
Intensities are scaled so that the largest is 100.

Largest 12 diffraction maxima, in order of falling intensity, 15 to 90 degrees two-theta:
(1 2 1), 2θ = 34.36°, rel. 100; (1 2 -1), 2θ = 32.90°, rel. 82; (1 0 -1), 2θ = 22.54°, rel. 60; (0 2 0), 2θ = 23.66°, rel. 54; (1 0 1), 2θ = 24.53°, rel. 51; (0 0 1), 2θ = 16.18°, rel. 51; (1 0 0), 2θ = 17.00°, rel. 47; (0 0 2), 2θ = 32.70°, rel. 43; (3 2 -1), 2θ = 59.70°, rel. 42; (1 2 0), 2θ = 29.28°, rel. 26; (0 2 1), 2θ = 28.80°, rel. 26; (3 2 1), 2θ = 62.46°, rel. 21

Atomic structure:
a = 5.2341 Å, b = 7.5212 Å, c = 5.4959 Å
α = 90.00°, β = 94.80°, γ = 90.00°
Space group P2_1/m (No. 11)
Symmetry-distinct sites (fractional):
Mg  0.0003  0.2500  0.0627 x2
Mg  0.4801  0.7500  0.4490 x2
Ta  0.5000  0.0000  0.0000 x2
Mn  0.0000  0.0000  0.5000 x2
O  0.1297  0.2500  0.4324 x2
O  0.1979  0.5708  0.1661 x4
O  0.3233  0.5642  0.6768 x4
O  0.3623  0.2500  0.9459 x2

Structure and computed powder X-ray diffraction pattern of NiSeO3 (the GGA+U geometry in the Materials Project; a wavelength of 1.5418 Å).
Intensities are scaled so that the largest is 100.

Largest 12 diffraction maxima, in order of falling intensity, 15 to 90 degrees two-theta:
(1 2 1), 2θ = 33.13°, rel. 100; (2 0 0), 2θ = 30.04°, rel. 32; (3 2 1), 2θ = 55.34°, rel. 28; (1 2 3), 2θ = 62.67°, rel. 21; (2 0 2), 2θ = 47.43°, rel. 20; (0 0 2), 2θ = 35.82°, rel. 19; (2 4 0), 2θ = 57.40°, rel. 14; (0 4 0), 2θ = 47.70°, rel. 11; (2 4 2), 2θ = 69.54°, rel. 11; (1 6 1), 2θ = 79.43°, rel. 9; (0 4 2), 2θ = 61.06°, rel. 9; (3 2 3), 2θ = 79.02°, rel. 7

Atomic structure:
a = 5.9496 Å, b = 7.6268 Å, c = 5.0139 Å
α = 90.00°, β = 90.00°, γ = 90.00°
Space group Pnma (No. 62)
Symmetry-distinct sites (fractional):
Ni  0.0000  0.0000  0.0000 x4
Se  0.0197  0.2500  0.4815 x4
O  0.0734  0.2500  0.8249 x4
O  0.1830  0.0750  0.3589 x8

Structure and computed powder X-ray diffraction pattern of BaBi2Mo4O16 (the GGA+U geometry in the Materials Project; a wavelength of 1.5418 Å).
Intensities are scaled so that the largest is 100.

Largest 12 diffraction maxima, in order of falling intensity, 15 to 90 degrees two-theta:
(1 1 -5), 2θ = 28.56°, rel. 100; (1 3 -2), 2θ = 27.72°, rel. 90; (1 1 5), 2θ = 29.21°, rel. 84; (1 3 2), 2θ = 27.99°, rel. 77; (1 1 4), 2θ = 25.71°, rel. 74; (2 0 0), 2θ = 33.20°, rel. 65; (1 1 -4), 2θ = 25.12°, rel. 65; (1 3 1), 2θ = 26.77°, rel. 57; (1 3 -1), 2θ = 26.63°, rel. 51; (0 2 6), 2θ = 30.49°, rel. 45; (2 4 -3), 2θ = 45.54°, rel. 45; (0 4 2), 2θ = 28.82°, rel. 44

Atomic structure:
a = 5.3990 Å, b = 13.0538 Å, c = 19.6988 Å
α = 90.00°, β = 91.41°, γ = 90.00°
Space group C2/c (No. 15)
Symmetry-distinct sites (fractional):
Ba  0.0000  0.0300  0.2500 x4
Bi  0.0022  0.1494  0.4623 x8
Mo  0.0045  0.2609  0.8484 x8
Mo  0.0185  0.4412  0.0921 x8
O  0.1175  0.4176  0.3303 x8
O  0.1197  0.1417  0.8221 x8
O  0.1532  0.3271  0.0492 x8
O  0.1627  0.2461  0.5700 x8
O  0.2091  0.3071  0.7127 x8
O  0.2345  0.1487  0.1376 x8
O  0.2370  0.4846  0.4640 x8
O  0.2458  0.4581  0.6070 x8

Structure and computed powder X-ray diffraction pattern of Na6CoS4O16 (the GGA+U geometry in the Materials Project; a wavelength of 1.5418 Å).
Intensities are scaled so that the largest is 100.

Largest 12 diffraction maxima, in order of falling intensity, 15 to 90 degrees two-theta:
(2 1 1), 2θ = 28.27°, rel. 100; (2 1 -2), 2θ = 25.37°, rel. 93; (0 2 2), 2θ = 30.14°, rel. 77; (2 1 0), 2θ = 21.79°, rel. 75; (3 0 -2), 2θ = 29.21°, rel. 58; (0 2 1), 2θ = 22.35°, rel. 52; (1 3 -1), 2θ = 31.13°, rel. 51; (2 3 -1), 2θ = 34.26°, rel. 51; (1 0 2), 2θ = 28.66°, rel. 34; (3 2 -4), 2θ = 48.70°, rel. 34; (1 3 -2), 2θ = 35.95°, rel. 28; (3 1 -2), 2θ = 30.78°, rel. 26

Atomic structure:
a = 9.9327 Å, b = 9.3132 Å, c = 8.4176 Å
α = 90.00°, β = 114.01°, γ = 90.00°
Space group P2_1/c (No. 14)
Symmetry-distinct sites (fractional):
Na  0.0534  0.1514  0.4107 x4
Na  0.1895  0.0153  0.0329 x4
Na  0.3900  0.6372  0.3160 x4
Co  0.5000  0.0000  0.5000 x2
S  0.1625  0.6472  0.8473 x4
S  0.3600  0.1948  0.7755 x4
O  0.0380  0.6028  0.6826 x4
O  0.1461  0.5844  0.9999 x4
O  0.1701  0.6934  0.3593 x4
O  0.2106  0.2442  0.1789 x4
O  0.3016  0.5934  0.8341 x4
O  0.3641  0.1039  0.9230 x4
O  0.4059  0.1062  0.6596 x4
O  0.4701  0.1841  0.3445 x4

Structure and computed powder X-ray diffraction pattern of PrCoSbPbO6 (the GGA+U geometry in the Materials Project; a wavelength of 1.5418 Å).
Intensities are scaled so that the largest is 100.

Largest 12 diffraction maxima, in order of falling intensity, 15 to 90 degrees two-theta:
(1 1 -3), 2θ = 31.29°, rel. 100; (3 1 -1), 2θ = 55.90°, rel. 27; (2 0 -2), 2θ = 31.45°, rel. 25; (2 2 -2), 2θ = 44.66°, rel. 24; (0 2 0), 2θ = 30.88°, rel. 24; (1 3 1), 2θ = 55.18°, rel. 16; (0 0 4), 2θ = 45.03°, rel. 13; (1 1 5), 2θ = 74.46°, rel. 11; (0 2 4), 2θ = 55.60°, rel. 10; (1 1 -1), 2θ = 21.90°, rel. 8; (2 2 2), 2θ = 65.23°, rel. 7; (2 2 -6), 2θ = 65.35°, rel. 7

Atomic structure:
a = 5.6887 Å, b = 5.7913 Å, c = 9.8489 Å
α = 90.00°, β = 125.15°, γ = 90.00°
Space group Pc (No. 7)
Symmetry-distinct sites (fractional):
Pr  0.0000  0.1982  0.0000 x2
Co  0.2381  0.2622  0.7512 x2
Sb  0.7339  0.2572  0.2476 x2
Pb  0.4841  0.2665  0.5020 x2
O  0.0439  0.0370  0.2858 x2
O  0.3962  0.4457  0.2000 x2
O  0.4778  0.0187  0.7065 x2
O  0.5873  0.2601  0.0058 x2
O  0.9108  0.2196  0.4925 x2
O  0.9687  0.4574  0.7939 x2

Structure and computed powder X-ray diffraction pattern of Cr3Fe2O12 (the GGA+U geometry in the Materials Project; a wavelength of 1.5418 Å).
Intensities are scaled so that the largest is 100.

Largest 12 diffraction maxima, in order of falling intensity, 15 to 90 degrees two-theta:
(0 2 1), 2θ = 28.72°, rel. 100; (2 0 -1), 2θ = 27.35°, rel. 98; (0 1 -3), 2θ = 27.87°, rel. 71; (1 -2 2), 2θ = 27.97°, rel. 61; (2 -1 0), 2θ = 27.60°, rel. 56; (0 1 1), 2θ = 17.96°, rel. 47; (-1 1 2), 2θ = 24.79°, rel. 34; (1 1 -2), 2θ = 21.90°, rel. 29; (0 2 -2), 2θ = 24.25°, rel. 29; (-4 1 1), 2θ = 55.18°, rel. 28; (0 3 -2), 2θ = 33.20°, rel. 27; (0 1 -2), 2θ = 18.90°, rel. 26

Atomic structure:
a = 6.6983 Å, b = 8.4909 Å, c = 9.9251 Å
α = 107.57°, β = 104.58°, γ = 103.10°
Space group P-1 (No. 2)
Symmetry-distinct sites (fractional):
Cr  0.0972  0.2570  0.1345 x2
Cr  0.2823  0.3345  0.7395 x2
Cr  0.3837  0.8946  0.6617 x2
Fe  0.1235  0.0417  0.3931 x2
Fe  0.4498  0.7874  0.9817 x2
O  0.0436  0.2177  0.7359 x2
O  0.0706  0.1350  0.2406 x2
O  0.1553  0.7798  0.9827 x2
O  0.1669  0.9499  0.5707 x2
O  0.2033  0.4586  0.2434 x2
O  0.2608  0.2003  0.0370 x2
O  0.2775  0.2804  0.5617 x2
O  0.3200  0.5471  0.8179 x2
O  0.3341  0.6899  0.5870 x2
O  0.3924  0.0027  0.3612 x2
O  0.4256  0.9462  0.8510 x2
O  0.4792  0.2822  0.8410 x2

> Number 3 is which compound?

Mg2TaMnO6